[1]
Calculated powder XRD pattern
Compound: Nb8Si2Sb4Pd
Radiation: Cu Kα (weighted mean of Kα1 and Kα2)
Structure: a crystal structure in the Materials Project, relaxed with PBE
Kinematic intensities with the Lorentz-polarization factor, no thermal factor.

Top 10 peaks for 10° ≤ 2θ ≤ 90°, by intensity:
2θ 39.59, I 100.0, hkl 4 1 1
2θ 35.56, I 72.2, hkl 3 2 1
2θ 35.84, I 32.5, hkl 0 0 2
2θ 38.20, I 27.2, hkl 4 2 0
2θ 25.95, I 19.1, hkl 2 1 1
2θ 66.92, I 18.2, hkl 4 1 3
2θ 39.84, I 16.9, hkl 2 0 2
2θ 62.31, I 16.6, hkl 7 1 0
2θ 36.17, I 15.6, hkl 3 3 0
2θ 50.04, I 15.5, hkl 5 2 1

Atomic structure:
Unit cell a=10.537 b=10.537 c=5.011 alpha=90.00 beta=90.00 gamma=90.00
Space group I-42m (No. 121)
One atom of each set of equivalent atoms:
Nb 0.081 0.294 0.245 [16 per cell]
Si 0.000 0.500 0.000 [4 per cell]
Sb 0.152 0.152 0.724 [8 per cell]
Pd 0.000 0.000 0.000 [2 per cell]

=====

[2]
Calculated powder XRD pattern
Compound: Nb2Pd3Se8
Radiation: Cu Kα (weighted mean of Kα1 and Kα2)
Structure: a crystal structure in the Materials Project, relaxed with PBE
Kinematic intensities with the Lorentz-polarization factor, no thermal factor.

Top 10 peaks for 10° ≤ 2θ ≤ 90°, by intensity:
2θ 14.08, I 100.0, hkl 1 2 0
2θ 33.92, I 63.9, hkl 0 4 1
2θ 43.29, I 57.0, hkl 4 2 1
2θ 26.53, I 45.0, hkl 1 1 1
2θ 34.92, I 37.9, hkl 1 4 1
2θ 50.27, I 37.3, hkl 0 0 2
2θ 55.39, I 33.6, hkl 5 6 0
2θ 43.93, I 33.5, hkl 1 6 1
2θ 43.11, I 32.3, hkl 0 6 1
2θ 42.05, I 29.5, hkl 5 1 0

Atomic structure:
Unit cell a=10.839 b=15.439 c=3.630 alpha=90.00 beta=90.00 gamma=90.00
Space group Pbam (No. 55)
One atom of each set of equivalent atoms:
Nb 0.214 0.117 0.000 [4 per cell]
Pd 0.000 0.000 0.500 [2 per cell]
Pd 0.120 0.716 0.500 [4 per cell]
Se 0.045 0.157 0.500 [4 per cell]
Se 0.047 0.617 0.000 [4 per cell]
Se 0.229 0.992 0.500 [4 per cell]
Se 0.249 0.781 0.000 [4 per cell]

=====

Question: Which formula does entry 1 have?
Answer: Nb8Si2Sb4Pd

=====

Repeat the second record exactly.
Calculated powder XRD pattern
Compound: Nb2Pd3Se8
Radiation: Cu Kα (weighted mean of Kα1 and Kα2)
Structure: a crystal structure in the Materials Project, relaxed with PBE
Kinematic intensities with the Lorentz-polarization factor, no thermal factor.

Top 10 peaks for 10° ≤ 2θ ≤ 90°, by intensity:
2θ 14.08, I 100.0, hkl 1 2 0
2θ 33.92, I 63.9, hkl 0 4 1
2θ 43.29, I 57.0, hkl 4 2 1
2θ 26.53, I 45.0, hkl 1 1 1
2θ 34.92, I 37.9, hkl 1 4 1
2θ 50.27, I 37.3, hkl 0 0 2
2θ 55.39, I 33.6, hkl 5 6 0
2θ 43.93, I 33.5, hkl 1 6 1
2θ 43.11, I 32.3, hkl 0 6 1
2θ 42.05, I 29.5, hkl 5 1 0

Atomic structure:
Unit cell a=10.839 b=15.439 c=3.630 alpha=90.00 beta=90.00 gamma=90.00
Space group Pbam (No. 55)
One atom of each set of equivalent atoms:
Nb 0.214 0.117 0.000 [4 per cell]
Pd 0.000 0.000 0.500 [2 per cell]
Pd 0.120 0.716 0.500 [4 per cell]
Se 0.045 0.157 0.500 [4 per cell]
Se 0.047 0.617 0.000 [4 per cell]
Se 0.229 0.992 0.500 [4 per cell]
Se 0.249 0.781 0.000 [4 per cell]